Starting from a crystal structure in the Materials Project, relaxed with GGA+U, the powder diffraction line list of Li2UW2O10 was simulated for Cu Kα (weighted mean of Kα1 and Kα2).
No peak broadening, texture or thermal motion is included.

Structure:
```
data_Li2UW2O10
_chemical_formula_sum 'Li8 U4 W8 O40'
_space_group_name_H-M_alt 'P 1'
_space_group_IT_number 1
_cell_length_a 7.6291
_cell_length_b 7.8731
_cell_length_c 13.0027
_cell_angle_alpha 89.94
_cell_angle_beta 89.79
_cell_angle_gamma 89.52
loop_
_space_group_symop_operation_xyz
'x,y,z'
loop_
_atom_site_label
_atom_site_type_symbol
_atom_site_fract_x
_atom_site_fract_y
_atom_site_fract_z
Li1 Li 0.0000 0.0000 0.0000
Li2 Li 0.0090 0.1415 0.4985
Li3 Li 0.2617 0.3283 0.5170
Li4 Li 0.2933 0.8012 0.0083
Li5 Li 0.5121 0.5173 0.4991
Li6 Li 0.5489 0.9841 0.0117
Li7 Li 0.7600 0.3286 0.4933
Li8 Li 0.9878 0.6660 0.0079
U1 U 0.2590 0.3281 0.9850
U2 U 0.2612 0.8288 0.4848
U3 U 0.7561 0.3351 0.0239
U4 U 0.7598 0.8288 0.5229
W1 W 0.0105 0.3041 0.7467
W2 W 0.0098 0.3496 0.2609
W3 W 0.0110 0.8041 0.7586
W4 W 0.0127 0.8493 0.2471
W5 W 0.5096 0.3529 0.7467
W6 W 0.5103 0.8529 0.7599
W7 W 0.5113 0.3084 0.2622
W8 W 0.5122 0.8076 0.2482
O1 O 0.0086 0.0701 0.7566
O2 O 0.0104 0.5695 0.7526
O3 O 0.0100 0.5841 0.2562
O4 O 0.0117 0.0830 0.2503
O5 O 0.0370 0.8289 0.6010
O6 O 0.0408 0.3301 0.1037
O7 O 0.0579 0.3091 0.6100
O8 O 0.0654 0.8303 0.1096
O9 O 0.2384 0.5643 0.9834
O10 O 0.2491 0.0659 0.4821
O11 O 0.2601 0.0896 0.9846
O12 O 0.2601 0.3284 0.2747
O13 O 0.2596 0.3288 0.7915
O14 O 0.2599 0.8266 0.7623
O15 O 0.2611 0.8285 0.2942
O16 O 0.2716 0.5919 0.4822
O17 O 0.4578 0.8400 0.1145
O18 O 0.4626 0.3505 0.6101
O19 O 0.4781 0.3223 0.1038
O20 O 0.4836 0.8282 0.5999
O21 O 0.5092 0.5743 0.2495
O22 O 0.5096 0.0881 0.7490
O23 O 0.5140 0.5870 0.7576
O24 O 0.5159 0.0749 0.2608
O25 O 0.5322 0.8428 0.8973
O26 O 0.5367 0.3290 0.9061
O27 O 0.5416 0.8207 0.4053
O28 O 0.5590 0.3414 0.3973
O29 O 0.7508 0.5915 0.5248
O30 O 0.7604 0.3286 0.7352
O31 O 0.7602 0.3307 0.2153
O32 O 0.7602 0.8283 0.7184
O33 O 0.7631 0.5675 0.0269
O34 O 0.7627 0.8281 0.2346
O35 O 0.7649 0.0975 0.0266
O36 O 0.7706 0.0660 0.5246
O37 O 0.9603 0.3182 0.3962
O38 O 0.9802 0.3222 0.9063
O39 O 0.9813 0.8242 0.8969
O40 O 0.9807 0.8362 0.4045
```

Main lines, sorted by position (2θ from 10° to 80°):
d/Å	Rel. int.
6.735	64
3.936	82
3.803	18
3.329	17
3.290	100
3.251	49
2.515	29
2.506	28
1.907	16
1.683	18

---

Starting from a crystal structure in the Materials Project, relaxed with GGA+U, the powder diffraction line list of Li2UW2O10 was simulated for Cu Kα (weighted mean of Kα1 and Kα2).
No peak broadening, texture or thermal motion is included.

Structure:
```
data_Li2UW2O10
_chemical_formula_sum 'Li8 U4 W8 O40'
_space_group_name_H-M_alt 'P 1'
_space_group_IT_number 1
_cell_length_a 7.8829
_cell_length_b 13.0708
_cell_length_c 7.6164
_cell_angle_alpha 90.00
_cell_angle_beta 90.02
_cell_angle_gamma 90.00
loop_
_space_group_symop_operation_xyz
'x,y,z'
loop_
_atom_site_label
_atom_site_type_symbol
_atom_site_fract_x
_atom_site_fract_y
_atom_site_fract_z
Li1 Li 0.0000 0.0047 0.0000
Li2 Li 0.0000 0.9953 0.5000
Li3 Li 0.4565 0.4932 0.0117
Li4 Li 0.4565 0.5068 0.5117
Li5 Li 0.6427 0.4867 0.7630
Li6 Li 0.6427 0.5133 0.2630
Li7 Li 0.8290 0.4925 0.5142
Li8 Li 0.8290 0.5075 0.0142
U1 U 0.1427 0.4816 0.2630
U2 U 0.1427 0.5184 0.7630
U3 U 0.6352 0.0209 0.7606
U4 U 0.6352 0.9791 0.2606
W1 W 0.1194 0.2437 0.5114
W2 W 0.1194 0.7563 0.0114
W3 W 0.1680 0.2441 0.0134
W4 W 0.1680 0.7559 0.5134
W5 W 0.6190 0.2567 0.5120
W6 W 0.6190 0.7433 0.0120
W7 W 0.6668 0.2566 0.0129
W8 W 0.6668 0.7434 0.5129
O1 O 0.1312 0.1127 0.4618
O2 O 0.1312 0.8873 0.9618
O3 O 0.1383 0.4085 0.5417
O4 O 0.1383 0.5915 0.0417
O5 O 0.1406 0.1139 0.0622
O6 O 0.1406 0.8861 0.5622
O7 O 0.1444 0.2394 0.7625
O8 O 0.1436 0.2961 0.2628
O9 O 0.1436 0.7039 0.7628
O10 O 0.1444 0.7606 0.2625
O11 O 0.1473 0.4069 0.9832
O12 O 0.1473 0.5931 0.4832
O13 O 0.3851 0.2561 0.5113
O14 O 0.3851 0.7439 0.0113
O15 O 0.3862 0.4818 0.2627
O16 O 0.3862 0.5182 0.7627
O17 O 0.4014 0.2549 0.0139
O18 O 0.4014 0.7451 0.5139
O19 O 0.4076 0.0254 0.7613
O20 O 0.4076 0.9746 0.2613
O21 O 0.6380 0.3981 0.5536
O22 O 0.6380 0.6019 0.0536
O23 O 0.6404 0.1051 0.4811
O24 O 0.6404 0.8949 0.9811
O25 O 0.6417 0.2184 0.7622
O26 O 0.6417 0.7816 0.2622
O27 O 0.6438 0.2716 0.2626
O28 O 0.6438 0.7284 0.7626
O29 O 0.6455 0.3979 0.9713
O30 O 0.6455 0.6021 0.4713
O31 O 0.6478 0.1044 0.0415
O32 O 0.6478 0.8956 0.5415
O33 O 0.8706 0.0213 0.7598
O34 O 0.8706 0.9787 0.2598
O35 O 0.8857 0.2586 0.5149
O36 O 0.8857 0.7414 0.0149
O37 O 0.8992 0.4818 0.2631
O38 O 0.8992 0.5182 0.7631
O39 O 0.8997 0.2572 0.0119
O40 O 0.8997 0.7428 0.5119
```

Main lines, sorted by position (2θ from 10° to 80°):
d/Å	Rel. int.
6.750	65
3.941	81
3.812	31
3.317	34
3.290	100
3.268	50
2.526	59
2.516	28
1.890	26
1.705	26

---

Starting from a crystal structure in the Materials Project, relaxed with GGA+U, the powder diffraction line list of Li3VO12 was simulated for Cu Kα (weighted mean of Kα1 and Kα2).
No peak broadening, texture or thermal motion is included.

Structure:
```
data_Li3VO12
_chemical_formula_sum 'Li3 V1 O12'
_space_group_name_H-M_alt 'P 1'
_space_group_IT_number 1
_cell_length_a 5.6834
_cell_length_b 5.9676
_cell_length_c 6.4829
_cell_angle_alpha 97.86
_cell_angle_beta 97.56
_cell_angle_gamma 99.58
loop_
_space_group_symop_operation_xyz
'x,y,z'
loop_
_atom_site_label
_atom_site_type_symbol
_atom_site_fract_x
_atom_site_fract_y
_atom_site_fract_z
Li1 Li 0.0000 0.0000 0.0000
Li2 Li 0.2111 0.8139 0.5333
Li3 Li 0.5779 0.4741 0.9228
V1 V 0.7524 0.3438 0.4390
O1 O 0.0580 0.9973 0.3186
O2 O 0.0648 0.3358 0.9642
O3 O 0.1731 0.5224 0.1042
O4 O 0.1903 0.4976 0.3050
O5 O 0.2680 0.8653 0.8621
O6 O 0.4890 0.9421 0.9799
O7 O 0.4983 0.3109 0.6104
O8 O 0.5360 0.0884 0.5373
O9 O 0.6509 0.3758 0.1932
O10 O 0.6571 0.8136 0.9254
O11 O 0.9134 0.5909 0.5768
O12 O 0.9783 0.1199 0.4714
```

Main lines, sorted by position (2θ from 10° to 80°):
d/Å	Rel. int.
6.341	57
5.806	82
4.677	55
4.444	66
3.973	100
3.877	75
3.639	92
3.171	58
2.700	54
2.694	46

---

Starting from a crystal structure in the Materials Project, relaxed with GGA+U, the powder diffraction line list of LiV3O4 was simulated for Cu Kα (weighted mean of Kα1 and Kα2).
No peak broadening, texture or thermal motion is included.

Structure:
```
data_LiV3O4
_chemical_formula_sum 'Li2 V6 O8'
_space_group_name_H-M_alt 'P 1'
_space_group_IT_number 1
_cell_length_a 6.0583
_cell_length_b 6.0583
_cell_length_c 5.3512
_cell_angle_alpha 106.66
_cell_angle_beta 106.66
_cell_angle_gamma 59.02
loop_
_space_group_symop_operation_xyz
'x,y,z'
loop_
_atom_site_label
_atom_site_type_symbol
_atom_site_fract_x
_atom_site_fract_y
_atom_site_fract_z
Li1 Li 0.0000 0.5000 0.0000
Li2 Li 0.5000 0.0000 0.0000
V1 V 0.0000 0.0000 0.0000
V2 V 0.2370 0.7630 0.5000
V3 V 0.2532 0.2532 0.5009
V4 V 0.5000 0.5000 0.0000
V5 V 0.7468 0.7468 0.4991
V6 V 0.7630 0.2370 0.5000
O1 O 0.1197 0.6247 0.7413
O2 O 0.1265 0.1265 0.7473
O3 O 0.3753 0.8803 0.2587
O4 O 0.3849 0.3849 0.2693
O5 O 0.6151 0.6151 0.7307
O6 O 0.6247 0.1197 0.7413
O7 O 0.8735 0.8735 0.2527
O8 O 0.8803 0.3753 0.2587
```

Main lines, sorted by position (2θ from 10° to 80°):
d/Å	Rel. int.
5.053	27
4.978	22
4.330	15
2.526	14
2.457	26
2.165	52
2.142	100
1.538	15
1.531	29
1.514	28

---

Starting from a crystal structure in the Materials Project, relaxed with GGA+U, the powder diffraction line list of Li2V3O8 was simulated for Cu Kα (weighted mean of Kα1 and Kα2).
No peak broadening, texture or thermal motion is included.

Structure:
```
data_Li2V3O8
_chemical_formula_sum 'Li8 V12 O32'
_space_group_name_H-M_alt 'P 1'
_space_group_IT_number 1
_cell_length_a 8.3150
_cell_length_b 8.3682
_cell_length_c 8.3850
_cell_angle_alpha 90.00
_cell_angle_beta 90.00
_cell_angle_gamma 90.00
loop_
_space_group_symop_operation_xyz
'x,y,z'
loop_
_atom_site_label
_atom_site_type_symbol
_atom_site_fract_x
_atom_site_fract_y
_atom_site_fract_z
Li1 Li 0.0024 0.0009 0.0043
Li2 Li 0.2500 0.2501 0.2538
Li3 Li 0.2500 0.7499 0.7538
Li4 Li 0.4976 0.9991 0.5043
Li5 Li 0.5024 0.4991 0.9957
Li6 Li 0.7500 0.2499 0.7462
Li7 Li 0.7500 0.7501 0.2462
Li8 Li 0.9976 0.5009 0.4957
V1 V 0.1242 0.1232 0.6170
V2 V 0.1354 0.6111 0.1250
V3 V 0.1442 0.8673 0.3836
V4 V 0.3558 0.1327 0.8836
V5 V 0.3646 0.3889 0.6250
V6 V 0.3758 0.8768 0.1170
V7 V 0.6242 0.3768 0.3830
V8 V 0.6354 0.8889 0.8750
V9 V 0.6442 0.6327 0.6164
V10 V 0.8558 0.3673 0.1164
V11 V 0.8646 0.1111 0.3750
V12 V 0.8758 0.6232 0.8830
O1 O 0.0951 0.6407 0.8995
O2 O 0.1072 0.6562 0.3515
O3 O 0.1080 0.4061 0.1420
O4 O 0.1168 0.1075 0.3837
O5 O 0.1346 0.8858 0.5941
O6 O 0.1422 0.8638 0.1361
O7 O 0.1464 0.1162 0.8544
O8 O 0.1553 0.3657 0.6133
O9 O 0.3447 0.6343 0.1133
O10 O 0.3536 0.8838 0.3544
O11 O 0.3578 0.1362 0.6361
O12 O 0.3654 0.1142 0.0941
O13 O 0.3832 0.8925 0.8837
O14 O 0.3920 0.5939 0.6420
O15 O 0.3928 0.3438 0.8515
O16 O 0.4049 0.3593 0.3995
O17 O 0.5951 0.8593 0.1005
O18 O 0.6072 0.8438 0.6485
O19 O 0.6080 0.0939 0.8580
O20 O 0.6168 0.3925 0.6163
O21 O 0.6345 0.6142 0.4059
O22 O 0.6422 0.6362 0.8639
O23 O 0.6464 0.3838 0.1456
O24 O 0.6553 0.1343 0.3867
O25 O 0.8447 0.8657 0.8867
O26 O 0.8536 0.6162 0.6456
O27 O 0.8578 0.3638 0.3639
O28 O 0.8654 0.3858 0.9059
O29 O 0.8832 0.6075 0.1163
O30 O 0.8920 0.9061 0.3580
O31 O 0.8928 0.1562 0.1485
O32 O 0.9049 0.1407 0.6005
```

Main lines, sorted by position (2θ from 10° to 80°):
d/Å	Rel. int.
5.908	31
4.824	100
3.743	26
3.724	13
3.415	15
2.524	32
2.510	15
2.094	45
2.079	21
1.475	24